Simulated powder XRD pattern of NaP15 for Cu Kα (λ = 1.5418 Å), from a structure optimized by DFT (GGA-PBE).
No peak broadening, texture or thermal motion is included.

Structural model:
Lattice parameters (Å, degrees): 7.160 9.241 11.843 92.13 99.51 108.18
Space group P-1 (No. 2)
Inequivalent atoms, fractional coordinates:
Na 0.212 0.210 0.000
P 0.012 0.339 0.402
P 0.015 0.441 0.831
P 0.023 0.900 0.662
P 0.109 0.911 0.848
P 0.112 0.758 0.299
P 0.207 0.595 0.729
P 0.257 0.484 0.174
P 0.292 0.865 0.171
P 0.308 0.988 0.595
P 0.309 0.455 0.362
P 0.337 0.688 0.431
P 0.342 0.806 0.851
P 0.381 0.237 0.636
P 0.472 0.080 0.275
P 0.492 0.719 0.175

The 6 most intense peaks (10 to 80 degrees two-theta), sorted by position:
- 2θ = 13.84°, rel. 67
- 2θ = 15.24°, rel. 100
- 2θ = 19.48°, rel. 63
- 2θ = 28.17°, rel. 99
- 2θ = 29.76°, rel. 72
- 2θ = 32.38°, rel. 62

=====

Simulated powder XRD pattern of Na3PS4 for Cu Kα (λ = 1.5418 Å), from a structure optimized by DFT (GGA-PBE).
No peak broadening, texture or thermal motion is included.

Structural model:
Lattice parameters (Å, degrees): 7.019 7.019 7.153 90.00 90.00 90.00
Space group P-42_1c (No. 114)
Inequivalent atoms, fractional coordinates:
Na 0.000 0.000 0.000
Na 0.000 0.500 0.079
P 0.000 0.000 0.500
S 0.151 0.812 0.335

The 6 most intense peaks (10 to 80 degrees two-theta), sorted by position:
- 2θ = 17.70°, rel. 54
- 2θ = 30.82°, rel. 58
- 2θ = 31.11°, rel. 100
- 2θ = 35.85°, rel. 63
- 2θ = 36.20°, rel. 42
- 2θ = 38.15°, rel. 27

=====

Simulated powder XRD pattern of Na3PS4 for Cu Kα (λ = 1.5418 Å), from a structure optimized by DFT (GGA-PBE).
No peak broadening, texture or thermal motion is included.

Structural model:
Lattice parameters (Å, degrees): 7.024 7.024 7.024 90.00 90.00 90.00
Space group I-43m (No. 217)
Inequivalent atoms, fractional coordinates:
Na 0.000 0.000 0.500
P 0.000 0.000 0.000
S 0.170 0.170 0.830

The 6 most intense peaks (10 to 80 degrees two-theta), sorted by position:
- 2θ = 17.86°, rel. 46
- 2θ = 31.19°, rel. 100
- 2θ = 36.17°, rel. 87
- 2θ = 44.69°, rel. 20
- 2θ = 55.51°, rel. 39
- 2θ = 58.79°, rel. 33

=====

Simulated powder XRD pattern of Na2Sr3P4 for Cu Kα (λ = 1.5418 Å), from a structure optimized by DFT (GGA-PBE).
No peak broadening, texture or thermal motion is included.

Structural model:
Lattice parameters (Å, degrees): 8.011 7.376 17.265 90.00 117.62 90.00
Space group P2_1/c (No. 14)
Inequivalent atoms, fractional coordinates:
Na 0.057 0.184 0.375
Na 0.259 0.136 0.750
Sr 0.186 0.684 0.373
Sr 0.293 0.037 0.102
Sr 0.408 0.537 0.102
P 0.006 0.133 0.535
P 0.171 0.521 0.749
P 0.369 0.743 0.751
P 0.437 0.135 0.965

The 6 most intense peaks (10 to 80 degrees two-theta), sorted by position:
- 2θ = 27.25°, rel. 33
- 2θ = 30.87°, rel. 60
- 2θ = 31.97°, rel. 100
- 2θ = 32.37°, rel. 71
- 2θ = 33.57°, rel. 35
- 2θ = 38.26°, rel. 35

=====

Simulated powder XRD pattern of NaSrP for Cu Kα (λ = 1.5418 Å), from a structure optimized by DFT (GGA-PBE).
No peak broadening, texture or thermal motion is included.

Structural model:
Lattice parameters (Å, degrees): 7.7067 7.7067 4.4981 90.00 90.00 120.00
Space group P-62m (No. 189)
Inequivalent atoms, fractional coordinates:
Na 0.0000 0.2421 0.0000
Sr 0.0000 0.5862 0.5000
P 0.0000 0.0000 0.5000
P 0.3333 0.6667 0.0000

The 6 most intense peaks (10 to 80 degrees two-theta), sorted by position:
- 2θ = 23.08°, rel. 27
- 2θ = 26.71°, rel. 25
- 2θ = 30.55°, rel. 100
- 2θ = 33.43°, rel. 85
- 2θ = 35.59°, rel. 36
- 2θ = 53.53°, rel. 34

=====

Simulated powder XRD pattern of Na2Sr3P4 for Cu Kα (λ = 1.5418 Å), from a structure optimized by DFT (GGA-PBE).
No peak broadening, texture or thermal motion is included.

Structural model:
Lattice parameters (Å, degrees): 9.472 9.068 13.502 90.00 124.41 90.00
Space group P2_1/c (No. 14)
Inequivalent atoms, fractional coordinates:
Na 0.149 0.210 0.363
Na 0.279 0.537 0.314
Sr 0.106 0.665 0.935
Sr 0.251 0.047 0.066
Sr 0.427 0.546 0.855
P 0.039 0.517 0.693
P 0.241 0.121 0.612
P 0.478 0.230 0.777
P 0.483 0.725 0.543

The 6 most intense peaks (10 to 80 degrees two-theta), sorted by position:
- 2θ = 21.74°, rel. 74
- 2θ = 28.46°, rel. 97
- 2θ = 31.09°, rel. 82
- 2θ = 33.53°, rel. 85
- 2θ = 33.72°, rel. 82
- 2θ = 33.78°, rel. 100

=====

Simulated powder XRD pattern of Na5SrTaP4 for Cu Kα (λ = 1.5418 Å), from a structure optimized by DFT (GGA-PBE).
No peak broadening, texture or thermal motion is included.

Structural model:
Lattice parameters (Å, degrees): 9.345 16.190 7.374 90.00 90.19 90.00
Space group Cc (No. 9)
Inequivalent atoms, fractional coordinates:
Na 0.000 0.031 0.000
Na 0.006 0.357 0.670
Na 0.222 0.431 0.174
Na 0.285 0.071 0.666
Na 0.299 0.267 0.500
Sr 0.205 0.235 0.996
Ta 0.005 0.165 0.388
P 0.001 0.168 0.713
P 0.001 0.307 0.284
P 0.215 0.097 0.282
P 0.290 0.403 0.787

The 6 most intense peaks (10 to 80 degrees two-theta), sorted by position:
- 2θ = 10.93°, rel. 95
- 2θ = 16.27°, rel. 100
- 2θ = 18.99°, rel. 31
- 2θ = 31.66°, rel. 81
- 2θ = 32.86°, rel. 29
- 2θ = 38.53°, rel. 44

=====

Simulated powder XRD pattern of NaZnP for Cu Kα (λ = 1.5418 Å), from a structure optimized by DFT (GGA-PBE).
No peak broadening, texture or thermal motion is included.

Structural model:
Lattice parameters (Å, degrees): 4.070 4.070 6.929 90.00 90.00 90.00
Space group P4/nmm (No. 129, origin choice 2)
Inequivalent atoms, fractional coordinates:
Na 0.250 0.250 0.144
Zn 0.250 0.750 0.500
P 0.250 0.250 0.712

The 6 most intense peaks (10 to 80 degrees two-theta), sorted by position:
- 2θ = 12.78°, rel. 100
- 2θ = 33.73°, rel. 60
- 2θ = 40.76°, rel. 61
- 2θ = 44.53°, rel. 34
- 2θ = 46.51°, rel. 15
- 2θ = 79.44°, rel. 15

=====

Simulated powder XRD pattern of Na15Pb4 for Cu Kα (λ = 1.5418 Å), from a structure optimized by DFT (GGA-PBE).
No peak broadening, texture or thermal motion is included.

Structural model:
Lattice parameters (Å, degrees): 13.332 13.332 13.332 90.00 90.00 90.00
Space group I-43d (No. 220)
Inequivalent atoms, fractional coordinates:
Na 0.000 0.250 0.375
Na 0.038 0.378 0.155
Pb 0.041 0.459 0.541

The 6 most intense peaks (10 to 80 degrees two-theta), sorted by position:
- 2θ = 16.29°, rel. 33
- 2θ = 18.83°, rel. 100
- 2θ = 21.07°, rel. 45
- 2θ = 31.47°, rel. 64
- 2θ = 34.30°, rel. 72
- 2θ = 36.93°, rel. 38

=====

Simulated powder XRD pattern of Na4Si2PbSe6 for Cu Kα (λ = 1.5418 Å), from a structure optimized by DFT (GGA-PBE).
No peak broadening, texture or thermal motion is included.

Structural model:
Lattice parameters (Å, degrees): 7.145 12.347 8.035 90.00 107.33 90.00
Space group C2 (No. 5)
Inequivalent atoms, fractional coordinates:
Na 0.000 0.000 0.000
Na 0.000 0.160 0.500
Na 0.000 0.510 0.500
Na 0.000 0.835 0.500
Si 0.050 0.335 0.153
Pb 0.000 0.670 0.000
Se 0.225 0.335 0.754
Se 0.235 0.181 0.246
Se 0.236 0.489 0.247

The 6 most intense peaks (10 to 80 degrees two-theta), sorted by position:
- 2θ = 11.54°, rel. 18
- 2θ = 14.84°, rel. 12
- 2θ = 29.46°, rel. 100
- 2θ = 40.28°, rel. 40
- 2θ = 43.95°, rel. 34
- 2θ = 53.82°, rel. 12

=====

Simulated powder XRD pattern of NaTl2Pb for Cu Kα (λ = 1.5418 Å), from a structure optimized by DFT (GGA-PBE).
No peak broadening, texture or thermal motion is included.

Structural model:
Lattice parameters (Å, degrees): 7.868 7.868 7.868 90.00 90.00 90.00
Space group Fm-3m (No. 225)
Inequivalent atoms, fractional coordinates:
Na 0.000 0.000 0.000
Tl 0.250 0.250 0.250
Pb 0.000 0.000 0.500

The 6 most intense peaks (10 to 80 degrees two-theta), sorted by position:
- 2θ = 19.54°, rel. 18
- 2θ = 32.18°, rel. 100
- 2θ = 46.15°, rel. 19
- 2θ = 57.37°, rel. 40
- 2θ = 67.32°, rel. 12
- 2θ = 76.59°, rel. 17